Diffraction record for KRe4. The powder X-ray diffraction pattern is theoretical, not measured: it uses DFT lattice parameters and positions (PBE) and a wavelength of 1.5418 Å.

Cell and atoms:
```
data_KRe4
_chemical_formula_sum 'K2 Re8'
_space_group_name_H-M_alt 'I 4/m m m'
_space_group_IT_number 139
_space_group_name_Hall '-I 4 2'
_cell_length_a 4.3770
_cell_length_b 4.3770
_cell_length_c 10.4925
_cell_angle_alpha 90.00
_cell_angle_beta 90.00
_cell_angle_gamma 90.00
loop_
_atom_site_label
_atom_site_fract_x
_atom_site_fract_y
_atom_site_fract_z
K1 0.0000 0.0000 0.0000
Re1 0.0000 0.0000 0.3731
Re2 0.0000 0.5000 0.2500
```

The 12 most intense peaks (10 to 90 degrees two-theta), in order of falling intensity:
2θ (°)  d/Å  I (rel.)
45.32  2.001  100
41.25  2.189  81
33.62  2.666  75
16.90  5.246  69
22.00  4.040  62
32.78  2.732  48
78.06  1.224  42
59.76  1.548  27
44.88  2.020  24
53.66  1.708  24
86.51  1.125  20
70.34  1.338  18



Diffraction record for K4Re3. The powder X-ray diffraction pattern is theoretical, not measured: it uses DFT lattice parameters and positions (PBE) and a wavelength of 1.5418 Å.

Cell and atoms:
```
data_K4Re3
_chemical_formula_sum 'K4 Re3'
_space_group_name_H-M_alt 'P 6/m m m'
_space_group_IT_number 191
_space_group_name_Hall '-P 6 2'
_cell_length_a 5.3617
_cell_length_b 5.3617
_cell_length_c 6.8721
_cell_angle_alpha 90.00
_cell_angle_beta 90.00
_cell_angle_gamma 120.00
loop_
_atom_site_label
_atom_site_fract_x
_atom_site_fract_y
_atom_site_fract_z
K1 0.0000 0.0000 0.2305
K2 0.3333 0.6667 0.0000
Re1 0.0000 0.5000 0.5000
```

The 12 most intense peaks (10 to 90 degrees two-theta), in order of falling intensity:
2θ (°)  d/Å  I (rel.)
12.88  6.872  100
41.03  2.200  60
38.79  2.322  36
32.41  2.762  31
25.93  3.436  30
56.43  1.631  27
47.25  1.924  23
35.96  2.498  19
23.12  3.847  18
67.87  1.381  14
19.11  4.643  12
59.11  1.563  10